Calculated XRD peak list
Compound: Ca3Sn2S7
Radiation: Cu Kα, 1.54184 Å
Structure: a structure optimized by DFT (PBE)
Neutral-atom scattering factors, no anomalous dispersion.

Cell and atoms:
Unit cell a=12.710 b=12.710 c=6.992 alpha=90.00 beta=90.00 gamma=147.74
Atoms (fractional coordinates):
Ca 0.000 0.500 0.000
Ca 0.149 0.290 0.000
Ca 0.290 0.149 0.500
Ca 0.500 0.000 0.500
Ca 0.710 0.851 0.500
Ca 0.851 0.710 0.000
Sn 0.101 0.385 0.500
Sn 0.385 0.101 0.000
Sn 0.615 0.899 0.000
Sn 0.899 0.615 0.500
S 0.000 0.500 0.500
S 0.120 0.207 0.500
S 0.174 0.826 0.250
S 0.174 0.826 0.750
S 0.207 0.120 0.000
S 0.377 0.623 0.250
S 0.377 0.623 0.750
S 0.500 0.000 0.000
S 0.623 0.377 0.250
S 0.623 0.377 0.750
S 0.793 0.880 0.000
S 0.826 0.174 0.250
S 0.826 0.174 0.750
S 0.880 0.793 0.500

Main lines, in order of falling intensity (15 to 90 degrees two-theta):
Position (°2θ)	intensity
25.5	100
36.2	68
18.2	61
37.8	42
25.2	24
44.7	22
39.1	22
52.5	17